NbVO: theoretical powder XRD pattern (a wavelength of 1.5418 Å), based on DFT lattice parameters and positions (PBE+U).
Peak positions follow from Bragg's law for the DFT cell and can differ from measured ones.

The 10 most intense peaks (10° ≤ 2θ ≤ 80°), by intensity:
(1 0 3), 44.22°, I 1000
(0 1 1), 36.63°, I 592
(1 0 0), 35.59°, I 436
(0 0 4), 34.06°, I 363
(1 1 0), 63.92°, I 279
(1 1 4), 74.45°, I 215
(0 1 4), 50.09°, I 193
(0 1 2), 39.62°, I 185
(1 0 7), 73.27°, I 170
(0 1 5), 56.97°, I 135

Structural model:
a = 2.913 Å, b = 2.913 Å, c = 10.529 Å
α = 90.00°, β = 90.00°, γ = 120.00°
Atoms (fractional coordinates):
Nb 0.333 0.667 0.380
Nb 0.667 0.333 0.620
V 0.333 0.667 0.102
V 0.667 0.333 0.898
O 0.333 0.667 0.763
O 0.667 0.333 0.237